Ho7TmSc3: theoretical powder diffraction line list (Cu Kα (weighted mean of Kα1 and Kα2)), based on a PBE-relaxed structure.
Kinematic intensities with the Lorentz-polarization factor, no thermal factor.

Most intense lines, 10° ≤ 2θ ≤ 90°, in order of rising 2θ:
2θ (°)	intensity
23.3	311
26.6	563
29.0	457
31.6	767
32.5	378
33.7	616
34.1	1000
41.7	343
45.9	288
59.2	314

```
Ho7TmSc3
1.0
-2.833 5.284 5.513
2.833 -5.284 5.513
2.833 5.284 -5.513
Ho Tm Sc
7 1 3
Cartesian
0.000 0.000 0.000
2.833 -2.004 3.238
2.833 3.214 0.000
2.833 2.004 3.238
0.000 3.280 2.275
0.000 2.070 5.513
0.000 7.288 2.275
2.833 0.000 0.000
0.000 0.000 3.164
0.000 5.284 0.000
0.000 0.000 7.862
```